No. 1
Structure and simulated X-ray diffraction stick pattern of PmU2P4 (a crystal structure in Alexandria, relaxed with PBE; λ = 1.5418 Å (Cu Kα)).

Crystal structure
a b c (Å): 6.8606 6.8606 12.4676
angles (deg): 90.00 90.00 146.20
Atoms (fractional coordinates):
1 Pm 0.1120 0.8880 0.7500
2 Pm 0.8880 0.1120 0.2500
3 U 0.3681 0.6319 0.5623
4 U 0.3681 0.6319 0.9377
5 U 0.6319 0.3681 0.0623
6 U 0.6319 0.3681 0.4377
7 P 0.0000 0.0000 0.0000
8 P 0.0000 0.0000 0.5000
9 P 0.2615 0.7385 0.1236
10 P 0.2615 0.7385 0.3764
11 P 0.4573 0.5427 0.7500
12 P 0.5427 0.4573 0.2500
13 P 0.7385 0.2615 0.6236
14 P 0.7385 0.2615 0.8764

Most intense lines, 2θ = 15–90°, most intense first:
d 3.511, 2θ 25.4, intensity 100; d 2.665, 2θ 33.6, intensity 50; d 1.938, 2θ 46.9, intensity 41; d 3.255, 2θ 27.4, intensity 41; d 2.869, 2θ 31.2, intensity 36; d 2.087, 2θ 43.3, intensity 35; d 3.282, 2θ 27.2, intensity 33; d 1.734, 2θ 52.8, intensity 28; d 3.649, 2θ 24.4, intensity 26; d 2.068, 2θ 43.8, intensity 22

No. 2
Structure and simulated X-ray diffraction stick pattern of PmZn8P6 (a crystal structure in Alexandria, relaxed with PBE; λ = 1.5418 Å (Cu Kα)).

Crystal structure
a b c (Å): 7.3043 7.3043 13.0705
angles (deg): 90.00 90.00 120.00
Atoms (fractional coordinates):
1 Pm 0.0000 0.0000 0.0000
2 Pm 0.0000 0.0000 0.5000
3 Zn 0.0000 0.3083 0.2943
4 Zn 0.0000 0.3861 0.6555
5 Zn 0.0000 0.6139 0.1555
6 Zn 0.0000 0.6917 0.7943
7 Zn 0.3083 0.0000 0.2943
8 Zn 0.3083 0.3083 0.7943
9 Zn 0.3333 0.6667 0.4290
10 Zn 0.3333 0.6667 0.9290
11 Zn 0.3861 0.0000 0.6555
12 Zn 0.3861 0.3861 0.1555
13 Zn 0.6139 0.0000 0.1555
14 Zn 0.6139 0.6139 0.6555
15 Zn 0.6667 0.3333 0.4290
16 Zn 0.6667 0.3333 0.9290
17 Zn 0.6917 0.0000 0.7943
18 Zn 0.6917 0.6917 0.2943
19 P 0.0000 0.0000 0.2243
20 P 0.0000 0.0000 0.7243
21 P 0.0000 0.3772 0.4747
22 P 0.0000 0.6228 0.9747
23 P 0.3333 0.6667 0.2332
24 P 0.3333 0.6667 0.7332
25 P 0.3772 0.0000 0.4747
26 P 0.3772 0.3772 0.9747
27 P 0.6228 0.0000 0.9747
28 P 0.6228 0.6228 0.4747
29 P 0.6667 0.3333 0.2332
30 P 0.6667 0.3333 0.7332

Most intense lines, 2θ = 15–90°, most intense first:
d 2.109, 2θ 42.9, intensity 100; d 3.517, 2θ 25.3, intensity 65; d 3.188, 2θ 28.0, intensity 65; d 2.799, 2θ 32.0, intensity 48; d 2.126, 2θ 42.5, intensity 41; d 2.903, 2θ 30.8, intensity 37; d 2.435, 2θ 36.9, intensity 33; d 2.847, 2θ 31.4, intensity 30; d 1.794, 2θ 50.9, intensity 19; d 4.545, 2θ 19.5, intensity 18

No. 3
Structure and simulated X-ray diffraction stick pattern of Pr4P3 (a crystal structure in Alexandria, relaxed with PBE; λ = 1.5418 Å (Cu Kα)).

Crystal structure
a b c (Å): 7.7097 7.7097 7.7097
angles (deg): 109.47 109.47 109.47
Atoms (fractional coordinates):
1 Pr 0.0000 0.1298 0.5000
2 Pr 0.0000 0.6298 0.5000
3 Pr 0.1298 0.5000 0.0000
4 Pr 0.3702 0.3702 0.3702
5 Pr 0.5000 0.0000 0.1298
6 Pr 0.5000 0.0000 0.6298
7 Pr 0.6298 0.5000 0.0000
8 Pr 0.8702 0.8702 0.8702
9 P 0.1250 0.8750 0.2500
10 P 0.2500 0.1250 0.8750
11 P 0.3750 0.6250 0.7500
12 P 0.6250 0.7500 0.3750
13 P 0.7500 0.3750 0.6250
14 P 0.8750 0.2500 0.1250

Most intense lines, 2θ = 15–90°, most intense first:
d 2.815, 2θ 31.8, intensity 100; d 2.379, 2θ 37.8, intensity 62; d 1.746, 2θ 52.4, intensity 50; d 3.634, 2θ 24.5, intensity 42; d 3.147, 2θ 28.4, intensity 35; d 1.817, 2θ 50.2, intensity 23; d 1.444, 2θ 64.5, intensity 20; d 1.374, 2θ 68.3, intensity 17; d 1.211, 2θ 79.0, intensity 14; d 1.408, 2θ 66.4, intensity 12

Q: Which formula does entry 1 have?
A: PmU2P4